Entry 1:
The following is a simulated powder diffractogram of KHfPCO7. It was derived from the PBE geometry in the Materials Project, using Cu Kα, 1.54184 Å.
Lines closer than 0.1° are merged.

Main lines, most intense first (2θ = 10–80°):
hkl 0 1 1, 2θ 16.02, I = 100
hkl 1 1 0, 2θ 20.36, I = 79
hkl 1 0 1, 2θ 17.85, I = 50
hkl 1 0 -2, 2θ 23.37, I = 47
hkl 0 2 0, 2θ 26.82, I = 46
hkl 1 0 -1, 2θ 17.60, I = 30

Structural model:
Unit cell a=5.7832 b=6.6473 c=9.9762 alpha=90.00 beta=90.92 gamma=90.00
Space group P2_1 (No. 4)
Inequivalent atoms, fractional coordinates:
K 0.2475 0.0000 0.2179 [2 per cell]
Hf 0.2776 0.1745 0.6534 [2 per cell]
P 0.2295 0.6803 0.5512 [2 per cell]
C 0.2213 0.2177 0.9050 [2 per cell]
O 0.0210 0.1805 0.5063 [2 per cell]
O 0.0490 0.1974 0.8135 [2 per cell]
O 0.1937 0.2443 0.0259 [2 per cell]
O 0.2696 0.8670 0.6409 [2 per cell]
O 0.2709 0.4917 0.6379 [2 per cell]
O 0.4008 0.6866 0.4334 [2 per cell]
O 0.4276 0.2068 0.8443 [2 per cell]

***

Entry 2:
The following is a simulated powder diffractogram of HfMg14C. It was derived from the PBE geometry in the Materials Project, using Cu Kα, 1.54184 Å.
Lines closer than 0.1° are merged.

Main lines, most intense first (2θ = 10–80°):
hkl 2 0 4, 2θ 35.61, I = 100
hkl 2 2 2, 2θ 38.92, I = 79
hkl 1 1 1, 2θ 19.18, I = 57
hkl 0 2 2, 2θ 34.49, I = 54
hkl 0 1 1, 2θ 17.05, I = 50
hkl 3 1 1, 2θ 31.54, I = 42

Structural model:
Unit cell a=10.1536 b=5.8149 c=11.6223 alpha=90.00 beta=90.00 gamma=90.00
Space group Amm2 (No. 38)
Inequivalent atoms, fractional coordinates:
Hf 0.0000 0.0000 0.0000 [2 per cell]
Mg 0.0000 0.2356 0.2607 [4 per cell]
Mg 0.1468 0.0000 0.5799 [4 per cell]
Mg 0.2484 0.2453 0.8809 [8 per cell]
Mg 0.2513 0.0000 0.1321 [4 per cell]
Mg 0.5000 0.0000 0.4825 [2 per cell]
Mg 0.5000 0.0000 0.9726 [2 per cell]
Mg 0.5000 0.2476 0.7251 [4 per cell]
C 0.0000 0.0000 0.4203 [2 per cell]

***

Entry 3:
The following is a simulated powder diffractogram of HfMg14C. It was derived from the PBE geometry in the Materials Project, using Cu Kα, 1.54184 Å.
Lines closer than 0.1° are merged.

Main lines, most intense first (2θ = 10–80°):
hkl 2 0 2, 2θ 37.78, I = 100
hkl 1 0 1, 2θ 18.63, I = 65
hkl 1 0 0, 2θ 16.29, I = 39
hkl 2 0 0, 2θ 32.93, I = 29
hkl 1 1 1, 2θ 29.86, I = 25
hkl 0 0 4, 2θ 36.49, I = 24

Structural model:
Unit cell a=6.2815 b=6.2815 c=9.8489 alpha=90.00 beta=90.00 gamma=120.00
Space group P-6m2 (No. 187)
Inequivalent atoms, fractional coordinates:
Hf 0.0000 0.0000 0.0000 [1 per cell]
Mg 0.0126 0.5063 0.0000 [3 per cell]
Mg 0.1556 0.3111 0.2645 [6 per cell]
Mg 0.5039 0.0079 0.5000 [3 per cell]
Mg 0.6667 0.3333 0.2393 [2 per cell]
C 0.0000 0.0000 0.5000 [1 per cell]

***

Entry 4:
The following is a simulated powder diffractogram of HfMg6CO8. It was derived from the PBE geometry in the Materials Project, using Cu Kα, 1.54184 Å.
Lines closer than 0.1° are merged.

Main lines, most intense first (2θ = 10–80°):
hkl 1 0 1, 2θ 23.11, I = 100
hkl 2 0 0, 2θ 42.76, I = 71
hkl 1 0 0, 2θ 21.01, I = 55
hkl 1 0 2, 2θ 28.55, I = 51
hkl 1 1 2, 2θ 35.71, I = 48
hkl 2 0 4, 2θ 59.09, I = 46

Structural model:
Unit cell a=4.2293 b=4.2293 c=9.2867 alpha=90.00 beta=90.00 gamma=90.00
Space group P4/mmm (No. 123)
Inequivalent atoms, fractional coordinates:
Hf 0.0000 0.0000 0.0000 [1 per cell]
Mg 0.0000 0.0000 0.5000 [1 per cell]
Mg 0.0000 0.5000 0.2596 [4 per cell]
Mg 0.5000 0.5000 0.5000 [1 per cell]
C 0.5000 0.5000 0.0000 [1 per cell]
O 0.0000 0.0000 0.2371 [2 per cell]
O 0.0000 0.5000 0.0000 [2 per cell]
O 0.0000 0.5000 0.5000 [2 per cell]
O 0.5000 0.5000 0.2845 [2 per cell]

***

Entry 5:
The following is a simulated powder diffractogram of HfMg14CO16. It was derived from the PBE geometry in the Materials Project, using Cu Kα, 1.54184 Å.
Lines closer than 0.1° are merged.

Main lines, most intense first (2θ = 10–80°):
hkl 0 1 1, 2θ 14.19, I = 100
hkl 0 0 4, 2θ 40.45, I = 85
hkl 0 4 0, 2θ 41.33, I = 84
hkl 2 0 0, 2θ 43.21, I = 75
hkl 1 1 1, 2θ 25.62, I = 67
hkl 1 2 2, 2θ 35.88, I = 63

Structural model:
Unit cell a=4.1877 b=8.7388 c=8.9194 alpha=90.00 beta=90.00 gamma=90.00
Space group Pmmm (No. 47)
Inequivalent atoms, fractional coordinates:
Hf 0.0000 0.0000 0.0000 [1 per cell]
Mg 0.0000 0.2489 0.2700 [4 per cell]
Mg 0.0000 0.5000 0.0000 [1 per cell]
Mg 0.0000 0.5000 0.5000 [1 per cell]
Mg 0.5000 0.0000 0.2759 [2 per cell]
Mg 0.5000 0.2476 0.5000 [2 per cell]
Mg 0.5000 0.2627 0.0000 [2 per cell]
Mg 0.5000 0.5000 0.2571 [2 per cell]
C 0.0000 0.0000 0.5000 [1 per cell]
O 0.0000 0.0000 0.2234 [2 per cell]
O 0.0000 0.2441 0.0000 [2 per cell]
O 0.0000 0.2812 0.5000 [2 per cell]
O 0.0000 0.5000 0.2398 [2 per cell]
O 0.5000 0.0000 0.0000 [1 per cell]
O 0.5000 0.0000 0.5000 [1 per cell]
O 0.5000 0.2464 0.2495 [4 per cell]
O 0.5000 0.5000 0.0000 [1 per cell]
O 0.5000 0.5000 0.5000 [1 per cell]

***

Entry 6:
The following is a simulated powder diffractogram of HfMg14CO16. It was derived from the PBE geometry in the Materials Project, using Cu Kα, 1.54184 Å.
Lines closer than 0.1° are merged.

Main lines, most intense first (2θ = 10–80°):
hkl 1 0 0, 2θ 10.05, I = 100
hkl 4 0 0, 2θ 41.03, I = 94
hkl 4 0 2, 2θ 60.93, I = 51
hkl 2 1 1, 2θ 31.12, I = 51
hkl 2 1 0, 2θ 22.60, I = 47
hkl 0 0 2, 2θ 42.98, I = 44

Structural model:
Unit cell a=8.7991 b=8.7991 c=4.2084 alpha=90.00 beta=90.00 gamma=90.00
Space group P4/mmm (No. 123)
Inequivalent atoms, fractional coordinates:
Hf 0.0000 0.0000 0.0000 [1 per cell]
Mg 0.0000 0.2680 0.5000 [4 per cell]
Mg 0.0000 0.5000 0.0000 [2 per cell]
Mg 0.2593 0.5000 0.5000 [4 per cell]
Mg 0.2715 0.2715 0.0000 [4 per cell]
C 0.5000 0.5000 0.0000 [1 per cell]
O 0.0000 0.0000 0.5000 [1 per cell]
O 0.0000 0.2371 0.0000 [4 per cell]
O 0.0000 0.5000 0.5000 [2 per cell]
O 0.2173 0.5000 0.0000 [4 per cell]
O 0.2500 0.2500 0.5000 [4 per cell]
O 0.5000 0.5000 0.5000 [1 per cell]

***

Entry 7:
The following is a simulated powder diffractogram of HfMg6CO8. It was derived from the PBE geometry in the Materials Project, using Cu Kα, 1.54184 Å.
Lines closer than 0.1° are merged.

Main lines, most intense first (2θ = 10–80°):
hkl 1 0 1, 2θ 22.98, I = 100
hkl 2 0 0, 2θ 42.54, I = 73
hkl 1 1 1, 2θ 31.26, I = 56
hkl 1 1 2, 2θ 35.50, I = 46
hkl 2 0 4, 2θ 58.68, I = 43
hkl 0 0 4, 2θ 38.47, I = 41

Structural model:
Unit cell a=4.2506 b=4.2506 c=9.3599 alpha=90.00 beta=90.00 gamma=90.00
Space group P4/mmm (No. 123)
Inequivalent atoms, fractional coordinates:
Hf 0.0000 0.0000 0.0000 [1 per cell]
Mg 0.0000 0.5000 0.2812 [4 per cell]
Mg 0.5000 0.5000 0.0000 [1 per cell]
Mg 0.5000 0.5000 0.5000 [1 per cell]
C 0.0000 0.0000 0.5000 [1 per cell]
O 0.0000 0.0000 0.2181 [2 per cell]
O 0.0000 0.5000 0.0000 [2 per cell]
O 0.0000 0.5000 0.5000 [2 per cell]
O 0.5000 0.5000 0.2574 [2 per cell]